Theoretical X-ray powder pattern
Compound: USi2Ir2
Radiation: a wavelength of 1.5418 Å
Structure: the GGA-PBE geometry in the Materials Project
Lines closer than 0.1° are merged.

Structure:
a = 4.042 Å, b = 4.042 Å, c = 10.089 Å
α = 90.00°, β = 90.00°, γ = 90.00°
Space group I4/mmm (No. 139)
Inequivalent atoms, fractional coordinates:
U 0.000 0.000 0.000
Si 0.000 0.000 0.383
Ir 0.000 0.500 0.250

Top 12 peaks for 2θ from 15° to 90°, low angle first:
2θ = 17.6°, d 5.045, intensity 8, (0 0 2); 2θ = 23.7°, d 3.752, intensity 25, (1 0 1); 2θ = 34.7°, d 2.585, intensity 20, (1 0 3); 2θ = 35.6°, d 2.522, intensity 21, (0 0 4); 2θ = 36.1°, d 2.487, intensity 100, (1 1 2); 2θ = 44.8°, d 2.021, intensity 32, (2 0 0); 2θ = 57.9°, d 1.592, intensity 10, (2 1 3); 2θ = 58.5°, d 1.577, intensity 21, (2 0 4); 2θ = 64.3°, d 1.449, intensity 18, (1 1 6); 2θ = 65.3°, d 1.429, intensity 11, (2 2 0); 2θ = 76.6°, d 1.243, intensity 10, (2 2 4); 2θ = 77.0°, d 1.239, intensity 23, (3 1 2)

---

Theoretical X-ray powder pattern
Compound: YSi3Ir
Radiation: a wavelength of 1.5418 Å
Structure: the GGA-PBE geometry in the Materials Project
Lines closer than 0.1° are merged.

Structure:
a = 4.195 Å, b = 4.195 Å, c = 9.807 Å
α = 90.00°, β = 90.00°, γ = 90.00°
Space group I4mm (No. 107)
Inequivalent atoms, fractional coordinates:
Y 0.000 0.000 0.000
Si 0.000 0.000 0.416
Si 0.000 0.500 0.266
Ir 0.000 0.000 0.654

Top 12 peaks for 2θ from 15° to 90°, low angle first:
2θ = 18.1°, d 4.903, intensity 31, (0 0 2); 2θ = 23.1°, d 3.857, intensity 80, (1 0 1); 2θ = 30.1°, d 2.966, intensity 61, (1 1 0); 2θ = 34.8°, d 2.578, intensity 100, (1 0 3); 2θ = 35.4°, d 2.538, intensity 45, (1 1 2); 2θ = 43.1°, d 2.097, intensity 48, (2 0 0); 2θ = 48.2°, d 1.890, intensity 23, (1 1 4); 2θ = 49.5°, d 1.843, intensity 22, (2 1 1); 2θ = 51.4°, d 1.777, intensity 22, (1 0 5); 2θ = 56.6°, d 1.627, intensity 50, (2 1 3); 2θ = 65.2°, d 1.431, intensity 17, (1 1 6); 2θ = 69.3°, d 1.356, intensity 18, (2 1 5)